Structure and calculated PXRD pattern of Ca6Pd5Pt (DFT lattice parameters and positions (PBE); Cu Kα, 1.54184 Å).
Intensities are scaled so that the largest is 100.

Cell and atoms:
Cell lengths 4.9598, 7.1073, 7.8304 Å; angles 90.00, 108.22, 90.00 degrees
Positions (direct):
Ca: 0.0000 0.2462 0.0000
Ca: 0.0000 0.7538 0.0000
Ca: 0.3362 0.2489 0.6700
Ca: 0.3362 0.7511 0.6700
Ca: 0.6638 0.2489 0.3300
Ca: 0.6638 0.7511 0.3300
Pd: 0.1651 0.5000 0.3340
Pd: 0.1669 0.0000 0.3391
Pd: 0.5000 0.5000 0.0000
Pd: 0.8331 0.0000 0.6609
Pd: 0.8349 0.5000 0.6660
Pt: 0.5000 0.0000 0.0000

Most intense lines, 10° ≤ 2θ ≤ 90°, low angle first:
- 25.06 deg, intensity 15
- 25.35 deg, intensity 14
- 25.45 deg, intensity 14
- 35.98 deg, intensity 100
- 36.23 deg, intensity 49
- 44.56 deg, intensity 13
- 51.43 deg, intensity 9
- 64.52 deg, intensity 17
- 64.93 deg, intensity 17
- 65.08 deg, intensity 17

---

Structure and calculated PXRD pattern of Ca2Sb4Pd3Pt (DFT lattice parameters and positions (PBE); Cu Kα, 1.54184 Å).
Intensities are scaled so that the largest is 100.

Cell and atoms:
Cell lengths 4.6438, 4.6438, 10.7426 Å; angles 90.00, 90.00, 90.00 degrees
Positions (direct):
Ca: 0.0000 0.5000 0.2328
Ca: 0.5000 0.0000 0.7672
Sb: 0.0000 0.0000 0.5000
Sb: 0.0000 0.5000 0.8728
Sb: 0.5000 0.0000 0.1272
Sb: 0.5000 0.5000 0.5000
Pd: 0.0000 0.0000 0.0000
Pd: 0.0000 0.5000 0.6317
Pd: 0.5000 0.0000 0.3683
Pt: 0.5000 0.5000 0.0000

Most intense lines, 10° ≤ 2θ ≤ 90°, low angle first:
- 16.50 deg, intensity 55
- 20.84 deg, intensity 47
- 31.55 deg, intensity 37
- 31.94 deg, intensity 100
- 38.78 deg, intensity 83
- 42.41 deg, intensity 21
- 43.53 deg, intensity 86
- 56.01 deg, intensity 29
- 65.93 deg, intensity 33
- 73.50 deg, intensity 36